The following is a computed powder X-ray diffraction pattern of La4Dy2Ho5. It was derived from a DFT-relaxed cell (GGA-PBE, Alexandria), using Cu Ka.
Neutral-atom scattering factors, no anomalous dispersion.

Principal peaks in the range 10° ≤ 2θ ≤ 90°, low angle first:
2θ 30.63, I = 487
2θ 30.80, I = 565
2θ 31.23, I = 1000
2θ 31.51, I = 200
2θ 32.11, I = 240
2θ 32.88, I = 212
2θ 33.09, I = 259
2θ 33.92, I = 192
2θ 49.71, I = 197
2θ 55.75, I = 208

Structural model:
```
data_La4Dy2Ho5
_cell_length_a 11.7575
_cell_length_b 11.7575
_cell_length_c 9.2881
_cell_angle_alpha 110.00
_cell_angle_beta 110.00
_cell_angle_gamma 17.95
_symmetry_space_group_name_H-M 'P 1'
_symmetry_Int_Tables_number 1
loop_
_symmetry_equiv_pos_as_xyz
'x,y,z'
loop_
_atom_site_label
_atom_site_type_symbol
_atom_site_fract_x
_atom_site_fract_y
_atom_site_fract_z
La1 La 0.0188 0.0188 0.3250
La2 La 0.1747 0.1747 0.3728
La3 La 0.8253 0.8253 0.6272
La4 La 0.9812 0.9812 0.6750
Dy1 Dy 0.3887 0.3887 0.3518
Dy2 Dy 0.6113 0.6113 0.6482
Ho1 Ho 0.1238 0.1238 0.9770
Ho2 Ho 0.2425 0.2425 0.8326
Ho3 Ho 0.5000 0.5000 0.0000
Ho4 Ho 0.7575 0.7575 0.1674
Ho5 Ho 0.8762 0.8762 0.0230
```